# Er5NiOs
Theoretical powder XRD pattern, λ = 1.5418 Å (Cu Kα). Input: a cell relaxed with GGA-PBE.

Crystal structure
```
data_Er5NiOs
_cell_length_a 7.7538
_cell_length_b 7.7538
_cell_length_c 6.3901
_cell_angle_alpha 94.37
_cell_angle_beta 94.37
_cell_angle_gamma 110.22
_symmetry_space_group_name_H-M 'P 1'
_symmetry_Int_Tables_number 1
loop_
_symmetry_equiv_pos_as_xyz
'x,y,z'
loop_
_atom_site_label
_atom_site_type_symbol
_atom_site_fract_x
_atom_site_fract_y
_atom_site_fract_z
Er1 Er 0.0420 0.3380 0.8110
Er2 Er 0.1768 0.8232 0.7500
Er3 Er 0.2679 0.4271 0.3619
Er4 Er 0.3380 0.0420 0.3110
Er5 Er 0.4271 0.2679 0.8619
Er6 Er 0.5729 0.7321 0.1381
Er7 Er 0.6620 0.9580 0.6890
Er8 Er 0.7321 0.5729 0.6381
Er9 Er 0.8232 0.1768 0.2500
Er10 Er 0.9580 0.6620 0.1890
Ni1 Ni 0.0000 0.0000 0.0000
Ni2 Ni 0.0000 0.0000 0.5000
Os1 Os 0.3946 0.6054 0.7500
Os2 Os 0.6054 0.3946 0.2500
```

Peak list (6 most intense, 2θ = 10–80°, low angle first)
2θ = 28.0°, I = 62; 2θ = 28.2°, I = 54; 2θ = 32.1°, I = 53; 2θ = 32.7°, I = 100; 2θ = 36.1°, I = 48; 2θ = 36.6°, I = 56



# BaSrGaN2
Theoretical powder XRD pattern, λ = 1.5418 Å (Cu Kα). Input: a cell relaxed with GGA-PBE.

Crystal structure
```
data_BaSrGaN2
_cell_length_a 5.7278
_cell_length_b 6.0832
_cell_length_c 7.2860
_cell_angle_alpha 90.00
_cell_angle_beta 90.00
_cell_angle_gamma 90.00
_symmetry_space_group_name_H-M 'P 1'
_symmetry_Int_Tables_number 1
loop_
_symmetry_equiv_pos_as_xyz
'x,y,z'
loop_
_atom_site_label
_atom_site_type_symbol
_atom_site_fract_x
_atom_site_fract_y
_atom_site_fract_z
Ba1 Ba 0.0000 0.0000 0.2500
Ba2 Ba 0.0000 0.0000 0.7500
Sr1 Sr 0.5000 0.5000 0.2500
Sr2 Sr 0.5000 0.5000 0.7500
Ga1 Ga 0.0000 0.5000 0.0000
Ga2 Ga 0.0000 0.5000 0.5000
N1 N 0.2314 0.2961 0.0000
N2 N 0.2314 0.7039 0.5000
N3 N 0.7686 0.2961 0.5000
N4 N 0.7686 0.7039 0.0000
```

Peak list (6 most intense, 2θ = 10–80°, low angle first)
2θ = 15.5°, I = 26; 2θ = 21.3°, I = 36; 2θ = 29.4°, I = 28; 2θ = 31.2°, I = 23; 2θ = 32.6°, I = 100; 2θ = 43.4°, I = 25



# Pm5PrPb5
Theoretical powder XRD pattern, λ = 1.5418 Å (Cu Kα). Input: a cell relaxed with GGA-PBE.

Crystal structure
```
data_Pm5PrPb5
_cell_length_a 7.9444
_cell_length_b 7.9444
_cell_length_c 8.8422
_cell_angle_alpha 105.98
_cell_angle_beta 105.98
_cell_angle_gamma 47.58
_symmetry_space_group_name_H-M 'P 1'
_symmetry_Int_Tables_number 1
loop_
_symmetry_equiv_pos_as_xyz
'x,y,z'
loop_
_atom_site_label
_atom_site_type_symbol
_atom_site_fract_x
_atom_site_fract_y
_atom_site_fract_z
Pm1 Pm 0.0000 0.0000 0.0000
Pm2 Pm 0.3317 0.3317 0.6660
Pm3 Pm 0.3355 0.3355 0.1646
Pm4 Pm 0.6645 0.6645 0.8354
Pm5 Pm 0.6683 0.6683 0.3340
Pr1 Pr 0.0000 0.0000 0.5000
Pb1 Pb 0.1662 0.1662 0.3269
Pb2 Pb 0.1661 0.1661 0.8374
Pb3 Pb 0.5000 0.5000 0.5000
Pb4 Pb 0.8339 0.8339 0.1626
Pb5 Pb 0.8338 0.8338 0.6731
```

Peak list (6 most intense, 2θ = 10–80°, low angle first)
2θ = 27.9°, I = 100; 2θ = 28.0°, I = 49; 2θ = 39.8°, I = 40; 2θ = 39.9°, I = 39; 2θ = 48.6°, I = 22; 2θ = 65.1°, I = 28



# Na6Tl12Cd
Theoretical powder XRD pattern, λ = 1.5418 Å (Cu Kα). Input: a cell relaxed with GGA-PBE.

Crystal structure
```
data_Na6Tl12Cd
_cell_length_a 8.2305
_cell_length_b 8.2305
_cell_length_c 8.2305
_cell_angle_alpha 91.91
_cell_angle_beta 91.91
_cell_angle_gamma 91.91
_symmetry_space_group_name_H-M 'P 1'
_symmetry_Int_Tables_number 1
loop_
_symmetry_equiv_pos_as_xyz
'x,y,z'
loop_
_atom_site_label
_atom_site_type_symbol
_atom_site_fract_x
_atom_site_fract_y
_atom_site_fract_z
Na1 Na 0.2222 0.3834 0.7623
Na2 Na 0.2377 0.7778 0.6166
Na3 Na 0.3834 0.7623 0.2222
Na4 Na 0.6166 0.2377 0.7778
Na5 Na 0.7623 0.2222 0.3834
Na6 Na 0.7778 0.6166 0.2377
Tl1 Tl 0.0320 0.9521 0.2942
Tl2 Tl 0.0479 0.7058 0.9680
Tl3 Tl 0.1297 0.4555 0.3545
Tl4 Tl 0.2942 0.0320 0.9521
Tl5 Tl 0.3545 0.1297 0.4555
Tl6 Tl 0.4555 0.3545 0.1297
Tl7 Tl 0.5445 0.6455 0.8703
Tl8 Tl 0.6455 0.8703 0.5445
Tl9 Tl 0.7058 0.9680 0.0479
Tl10 Tl 0.8703 0.5445 0.6455
Tl11 Tl 0.9521 0.2942 0.0320
Tl12 Tl 0.9680 0.0479 0.7058
Cd1 Cd 0.5000 0.5000 0.5000
```

Peak list (6 most intense, 2θ = 10–80°, low angle first)
2θ = 23.9°, I = 95; 2θ = 32.2°, I = 99; 2θ = 32.7°, I = 98; 2θ = 33.7°, I = 96; 2θ = 34.1°, I = 100; 2θ = 34.9°, I = 77



# Ho8Rh2Au
Theoretical powder XRD pattern, λ = 1.5418 Å (Cu Kα). Input: a cell relaxed with GGA-PBE.

Crystal structure
```
data_Ho8Rh2Au
_cell_length_a 7.6667
_cell_length_b 7.6667
_cell_length_c 5.7319
_cell_angle_alpha 99.24
_cell_angle_beta 99.24
_cell_angle_gamma 113.57
_symmetry_space_group_name_H-M 'P 1'
_symmetry_Int_Tables_number 1
loop_
_symmetry_equiv_pos_as_xyz
'x,y,z'
loop_
_atom_site_label
_atom_site_type_symbol
_atom_site_fract_x
_atom_site_fract_y
_atom_site_fract_z
Ho1 Ho 0.0000 0.0000 0.0000
Ho2 Ho 0.0337 0.2923 0.5960
Ho3 Ho 0.1429 0.6004 0.1832
Ho4 Ho 0.2923 0.0337 0.5960
Ho5 Ho 0.4487 0.7075 0.7795
Ho6 Ho 0.6004 0.1429 0.1832
Ho7 Ho 0.7075 0.4487 0.7795
Ho8 Ho 0.7457 0.7457 0.3700
Rh1 Rh 0.0656 0.6769 0.6851
Rh2 Rh 0.6769 0.0656 0.6851
Au1 Au 0.3738 0.3738 0.0625
```

Peak list (6 most intense, 2θ = 10–80°, low angle first)
2θ = 31.2°, I = 71; 2θ = 32.0°, I = 53; 2θ = 32.3°, I = 100; 2θ = 33.4°, I = 81; 2θ = 35.8°, I = 76; 2θ = 39.0°, I = 59



# TaNbH6
Theoretical powder XRD pattern, λ = 1.5418 Å (Cu Kα). Input: a cell relaxed with GGA-PBE.

Crystal structure
```
data_TaNbH6
_cell_length_a 4.3553
_cell_length_b 4.3553
_cell_length_c 5.8560
_cell_angle_alpha 90.00
_cell_angle_beta 90.00
_cell_angle_gamma 90.00
_symmetry_space_group_name_H-M 'P 1'
_symmetry_Int_Tables_number 1
loop_
_symmetry_equiv_pos_as_xyz
'x,y,z'
loop_
_atom_site_label
_atom_site_type_symbol
_atom_site_fract_x
_atom_site_fract_y
_atom_site_fract_z
Ta1 Ta 0.0000 0.0000 0.2500
Ta2 Ta 0.0000 0.0000 0.7500
Nb1 Nb 0.5000 0.5000 0.0000
Nb2 Nb 0.5000 0.5000 0.5000
H1 H 0.0812 0.2675 0.0000
H2 H 0.2028 0.6048 0.2478
H3 H 0.2028 0.6048 0.7522
H4 H 0.2675 0.9188 0.5000
H5 H 0.3952 0.2028 0.2522
H6 H 0.3952 0.2028 0.7478
H7 H 0.6048 0.7972 0.2522
H8 H 0.6048 0.7972 0.7478
H9 H 0.7325 0.0812 0.5000
H10 H 0.7972 0.3952 0.2478
H11 H 0.7972 0.3952 0.7522
H12 H 0.9188 0.7325 0.0000
```

Peak list (6 most intense, 2θ = 10–80°, low angle first)
2θ = 20.4°, I = 19; 2θ = 29.0°, I = 96; 2θ = 37.0°, I = 100; 2θ = 41.5°, I = 36; 2θ = 56.8°, I = 60; 2θ = 68.1°, I = 17